Diffraction record for Ba2Ga6Co. The powder XRD pattern is simulated, not measured: it uses a structure optimized by DFT (GGA-PBE) and λ = 1.5418 Å (Cu Kα).

Structure:
```
data_Ba2Ga6Co
_chemical_formula_sum 'Ba2 Ga6 Co1'
_cell_length_a 6.7943
_cell_length_b 6.7943
_cell_length_c 5.4350
_cell_angle_alpha 90.00
_cell_angle_beta 90.00
_cell_angle_gamma 120.00
_symmetry_space_group_name_H-M 'P -3 m 1'
_symmetry_Int_Tables_number 164
_symmetry_space_group_name_Hall '-P 3 2"'
loop_
_atom_site_label
_atom_site_fract_x
_atom_site_fract_y
_atom_site_fract_z
Ba1 0.3333 0.6667 0.2099
Ga1 0.1472 0.2944 0.6969
Co1 0.0000 0.0000 0.0000
```

Largest 10 diffraction maxima, in order of rising 2θ, 10° ≤ 2θ ≤ 90°:
two_theta, I/Imax
22.27, 17
26.23, 13
30.38, 17
31.04, 12
32.96, 16
34.67, 100
45.44, 18
53.22, 17
53.98, 20
65.77, 12